Theoretical powder XRD pattern
Compound: ErGaFeO4
Radiation: Cu Ka
Structure: a crystal structure in Alexandria, relaxed with GGA+U
Lines closer than 0.1° are merged.

Principal peaks in the range 2θ = 10–90°, in order of rising 2θ:
hkl	2θ/deg	d [Å]	Rel. int.
1 0 1	17.6	5.034	62
0 0 2	20.2	4.387	20
2 0 0	29.1	3.074	24
1 2 1	33.0	2.714	100
1 0 3	33.9	2.642	74
0 2 2	34.5	2.597	24
2 0 2	35.7	2.517	22
2 2 0	40.6	2.224	28
3 2 1	54.1	1.696	25
2 2 4	59.2	1.562	48

Structure:
```
data_ErGaFeO4
_chemical_formula_sum 'Er4 Ga4 Fe4 O16'
_space_group_name_H-M_alt 'I m m a'
_space_group_IT_number 74
_space_group_name_Hall '-I 2b 2'
_cell_length_a 6.1474
_cell_length_b 6.4434
_cell_length_c 8.7731
_cell_angle_alpha 90.00
_cell_angle_beta 90.00
_cell_angle_gamma 90.00
loop_
_atom_site_label
_atom_site_fract_x
_atom_site_fract_y
_atom_site_fract_z
Er1 0.0000 0.0000 0.0000
Ga1 0.0000 0.2500 0.3747
Fe1 0.2500 0.2500 0.7500
O1 0.0000 0.0002 0.2557
O2 0.2493 0.2500 0.5028
```